# 1
# AlNi15Ge4
Simulated powder XRD pattern, Cu Ka. Input: the GGA-PBE geometry in Alexandria.
No peak broadening, texture or thermal motion is included.

Principal peaks in the range 5 to 70 degrees two-theta, low angle first:
9.90 deg, d = 8.938 Å, I = 1; 14.87 deg, d = 5.959 Å, I = 1; 25.42 deg, d = 3.503 Å, I = 1; 43.88 deg, d = 2.063 Å, I = 100; 51.12 deg, d = 1.787 Å, I = 47

Crystal structure
Cell: 3.5726 3.5726 17.8761 Å, 90.00 90.00 90.00°
Space group P4/mmm (No. 123)
Unique sites:
Al 0.0000 0.0000 0.0000 x1
Ni 0.0000 0.5000 0.0999 x4
Ni 0.0000 0.5000 0.3000 x4
Ni 0.0000 0.5000 0.5000 x2
Ni 0.5000 0.5000 0.0000 x1
Ni 0.5000 0.5000 0.2007 x2
Ni 0.5000 0.5000 0.4001 x2
Ge 0.0000 0.0000 0.1984 x2
Ge 0.0000 0.0000 0.3997 x2

---

# 2
# Pm2AlNi3Ge4
Simulated powder XRD pattern, Cu Ka. Input: the GGA-PBE geometry in Alexandria.
No peak broadening, texture or thermal motion is included.

Principal peaks in the range 5 to 70 degrees two-theta, low angle first:
8.64 deg, d = 10.233 Å, I = 13; 23.35 deg, d = 3.810 Å, I = 7; 30.80 deg, d = 2.903 Å, I = 25; 34.18 deg, d = 2.624 Å, I = 67; 35.56 deg, d = 2.525 Å, I = 100; 44.12 deg, d = 2.053 Å, I = 56; 47.37 deg, d = 1.919 Å, I = 6; 49.78 deg, d = 1.832 Å, I = 31; 56.96 deg, d = 1.617 Å, I = 30; 63.24 deg, d = 1.470 Å, I = 10; 64.16 deg, d = 1.452 Å, I = 18; 68.68 deg, d = 1.367 Å, I = 23

Crystal structure
Cell: 4.1055 4.1055 10.2325 Å, 90.00 90.00 90.00°
Space group P-4m2 (No. 115)
Unique sites:
Pm 0.0000 0.5000 0.2399 x2
Al 0.0000 0.0000 0.5000 x1
Ni 0.0000 0.5000 0.8781 x2
Ni 0.5000 0.5000 0.5000 x1
Ge 0.0000 0.0000 0.0000 x1
Ge 0.0000 0.5000 0.6469 x2
Ge 0.5000 0.5000 0.0000 x1

---

# 3
# AlNiGeRu
Simulated powder XRD pattern, Cu Ka. Input: the GGA-PBE geometry in Alexandria.
No peak broadening, texture or thermal motion is included.

Principal peaks in the range 5 to 70 degrees two-theta, low angle first:
25.88 deg, d = 3.442 Å, I = 13; 29.98 deg, d = 2.981 Å, I = 8; 42.90 deg, d = 2.108 Å, I = 100; 50.79 deg, d = 1.798 Å, I = 6; 53.22 deg, d = 1.721 Å, I = 2; 62.29 deg, d = 1.491 Å, I = 16; 68.61 deg, d = 1.368 Å, I = 3

Crystal structure
Cell: 5.9620 5.9620 5.9620 Å, 90.00 90.00 90.00°
Space group F-43m (No. 216)
Unique sites:
Al 0.0000 0.0000 0.0000 x4
Ni 0.2500 0.2500 0.2500 x4
Ge 0.0000 0.0000 0.5000 x4
Ru 0.2500 0.2500 0.7500 x4

---

# 4
# ThAl2Ni2Ge
Simulated powder XRD pattern, Cu Ka. Input: the GGA-PBE geometry in Alexandria.
No peak broadening, texture or thermal motion is included.

Principal peaks in the range 5 to 70 degrees two-theta, low angle first:
20.24 deg, d = 4.388 Å, I = 100; 25.65 deg, d = 3.472 Å, I = 40; 28.77 deg, d = 3.103 Å, I = 36; 31.51 deg, d = 2.839 Å, I = 41; 32.89 deg, d = 2.723 Å, I = 82; 37.73 deg, d = 2.384 Å, I = 89; 41.14 deg, d = 2.194 Å, I = 66; 46.26 deg, d = 1.963 Å, I = 25; 52.71 deg, d = 1.737 Å, I = 45; 57.03 deg, d = 1.615 Å, I = 70; 59.59 deg, d = 1.552 Å, I = 22; 68.96 deg, d = 1.362 Å, I = 23

Crystal structure
Cell: 4.3883 4.3883 5.6790 Å, 90.00 90.00 90.00°
Space group P4/mmm (No. 123)
Unique sites:
Th 0.0000 0.0000 0.0000 x1
Al 0.5000 0.5000 0.2434 x2
Ni 0.0000 0.5000 0.5000 x2
Ge 0.0000 0.0000 0.5000 x1

---

# 5
# Al2Ge3O9
Simulated powder XRD pattern, Cu Ka. Input: the GGA-PBE geometry in Alexandria.
No peak broadening, texture or thermal motion is included.

Principal peaks in the range 5 to 70 degrees two-theta, low angle first:
15.84 deg, d = 5.595 Å, I = 83; 31.80 deg, d = 2.814 Å, I = 24; 31.99 deg, d = 2.797 Å, I = 33; 32.81 deg, d = 2.729 Å, I = 100; 35.71 deg, d = 2.514 Å, I = 62; 48.83 deg, d = 1.865 Å, I = 13; 52.22 deg, d = 1.752 Å, I = 23; 56.65 deg, d = 1.625 Å, I = 37; 59.21 deg, d = 1.560 Å, I = 16; 59.46 deg, d = 1.555 Å, I = 23; 66.55 deg, d = 1.405 Å, I = 26; 67.37 deg, d = 1.390 Å, I = 14

Crystal structure
Cell: 5.6288 5.6288 11.1895 Å, 90.00 90.00 120.00°
Space group P6_3/mcm (No. 193)
Unique sites:
Al 0.3333 0.6667 0.0000 x4
Ge 0.0000 0.3362 0.2500 x6
O 0.0000 0.3008 0.7500 x6
O 0.0000 0.3916 0.0906 x12

---

# 6
# Al3GeO7
Simulated powder XRD pattern, Cu Ka. Input: the GGA-PBE geometry in Alexandria.
No peak broadening, texture or thermal motion is included.

Principal peaks in the range 5 to 70 degrees two-theta, low angle first:
18.47 deg, d = 4.803 Å, I = 16; 22.41 deg, d = 3.967 Å, I = 36; 29.20 deg, d = 3.059 Å, I = 100; 29.60 deg, d = 3.018 Å, I = 56; 37.12 deg, d = 2.422 Å, I = 20; 45.75 deg, d = 1.983 Å, I = 26; 46.57 deg, d = 1.950 Å, I = 17; 49.74 deg, d = 1.833 Å, I = 19; 55.44 deg, d = 1.657 Å, I = 9; 57.57 deg, d = 1.601 Å, I = 24; 65.40 deg, d = 1.427 Å, I = 21; 66.28 deg, d = 1.410 Å, I = 10

Crystal structure
Cell: 7.9335 7.9335 6.7179 Å, 90.00 90.00 120.00°
Space group R3m (No. 160, hexagonal axes)
Unique sites:
Al 0.0851 0.5426 0.0000 x9
Ge 0.0000 0.0000 0.9181 x3
O 0.0000 0.0000 0.1870 x3
O 0.2036 0.4071 0.1092 x9
O 0.2110 0.4220 0.5292 x9